For Li2CoSiO4, the GGA+U geometry in the Materials Project gives the theoretical powder X-ray diffraction pattern in this record (Cu Kα).
No peak broadening, texture or thermal motion is included.

Top 10 peaks for 15 to 90 degrees two-theta, by angle:
- 2θ = 21.64°, intensity 831
- 2θ = 22.65°, intensity 1000
- 2θ = 28.10°, intensity 236
- 2θ = 32.83°, intensity 529
- 2θ = 33.18°, intensity 296
- 2θ = 35.85°, intensity 484
- 2θ = 37.54°, intensity 428
- 2θ = 42.27°, intensity 208
- 2θ = 59.06°, intensity 294
- 2θ = 71.05°, intensity 185

Cell and atoms:
```
16
Lattice="5.0103 0.0000 0.0000 0.0000 5.4003 0.0000 -4.9938 0.0000 6.3211" Properties=species:S:1:pos:R:3 pbc="T T T"
Li 0.0000 0.8423 0.0000
Li -2.4969 4.5580 3.1606
Li 2.5175 1.7477 1.5709
Li 0.0206 3.6526 4.7315
Co -2.4821 1.7826 4.7730
Co 0.0148 3.6178 1.6124
Si 0.0446 0.9344 3.1618
Si 2.5415 4.4659 0.0012
O -0.4963 1.7049 1.7959
O -2.9932 3.6955 4.9565
O -2.9844 0.6327 6.3176
O -0.4875 4.7677 3.1570
O -0.4862 1.7080 4.5298
O 2.0107 3.6923 1.3692
O 1.6990 0.9738 3.1673
O 4.1959 4.4266 0.0067
```

---

For MgTiW2O8, the GGA+U geometry in the Materials Project gives the theoretical powder X-ray diffraction pattern in this record (Cu Kα).
No peak broadening, texture or thermal motion is included.

Top 10 peaks for 15 to 90 degrees two-theta, by angle:
- 2θ = 18.23°, intensity 1000
- 2θ = 18.60°, intensity 471
- 2θ = 22.31°, intensity 499
- 2θ = 23.78°, intensity 989
- 2θ = 28.67°, intensity 593
- 2θ = 29.25°, intensity 573
- 2θ = 34.72°, intensity 399
- 2θ = 37.12°, intensity 400
- 2θ = 38.74°, intensity 495
- 2θ = 45.73°, intensity 446

Cell and atoms:
```
12
Lattice="5.0030 0.0000 0.0000 1.2812 5.2052 0.0000 0.1659 2.4223 6.3682" Properties=species:S:1:pos:R:3 pbc="T T T"
Mg 0.0000 0.0000 0.0000
Ti 2.7040 1.6594 4.0192
W 2.1218 4.5762 5.1942
W 4.7064 4.0055 3.1448
O 1.3086 3.0826 3.9568
O 1.2524 1.4936 0.3432
O 2.8574 6.3319 5.7000
O 3.1048 5.2432 3.3532
O 3.6249 2.3957 2.6457
O 3.7507 3.2392 5.0971
O 5.3476 4.4491 1.5342
O 5.4430 5.5036 4.4317
```

---

For CsBa2Co2F9, the GGA+U geometry in the Materials Project gives the theoretical powder X-ray diffraction pattern in this record (Cu Kα).
No peak broadening, texture or thermal motion is included.

Top 10 peaks for 15 to 90 degrees two-theta, by angle:
- 2θ = 26.90°, intensity 1000
- 2θ = 29.75°, intensity 796
- 2θ = 38.45°, intensity 197
- 2θ = 40.53°, intensity 622
- 2θ = 45.66°, intensity 247
- 2θ = 51.08°, intensity 352
- 2θ = 52.80°, intensity 159
- 2θ = 55.45°, intensity 151
- 2θ = 61.78°, intensity 201
- 2θ = 64.18°, intensity 148

Cell and atoms:
```
14
Lattice="3.0032 1.7339 7.1684 -3.0032 1.7339 7.1684 0.0000 -3.4678 7.1684" Properties=species:S:1:pos:R:3 pbc="T T T"
Cs 0.0000 0.0000 0.0000
Ba 0.0000 0.0000 12.4415
Ba 0.0000 0.0000 16.8742
Co 0.0000 0.0000 3.7624
Co 0.0000 0.0000 8.4070
F -1.5514 -0.8957 7.4795
F 0.0000 -1.7550 4.7275
F -1.5199 0.8775 4.7275
F 0.0000 -1.6545 9.7859
F -1.4329 0.8273 9.7859
F 1.5514 -0.8957 7.4795
F 0.0000 1.7914 7.4795
F 1.5199 0.8775 4.7275
F 1.4329 0.8273 9.7859
```

---

For MgGaMo4O7, the GGA+U geometry in the Materials Project gives the theoretical powder X-ray diffraction pattern in this record (Cu Kα).
No peak broadening, texture or thermal motion is included.

Top 10 peaks for 15 to 90 degrees two-theta, by angle:
- 2θ = 15.35°, intensity 1000
- 2θ = 30.17°, intensity 621
- 2θ = 30.97°, intensity 441
- 2θ = 36.15°, intensity 505
- 2θ = 37.48°, intensity 542
- 2θ = 37.70°, intensity 506
- 2θ = 42.76°, intensity 789
- 2θ = 42.80°, intensity 356
- 2θ = 44.15°, intensity 410
- 2θ = 62.10°, intensity 718

Cell and atoms:
```
26
Lattice="-2.9149 3.0719 8.4519 2.9149 -3.0719 8.4519 2.9149 3.0719 -8.4519" Properties=species:S:1:pos:R:3 pbc="T T T"
Mg 0.0000 0.0000 0.0000
Mg 0.0000 3.0719 0.0000
Ga 2.9149 1.5359 0.9315
Ga 0.0000 1.5359 7.5204
Mo 1.5859 1.5359 -2.3183
Mo 4.2440 1.5359 -2.3183
Mo 2.9149 2.9516 -4.2872
Mo 2.9149 -0.1203 4.2872
Mo 0.0000 3.1922 4.1648
Mo 0.0000 0.1203 12.7391
Mo -1.3290 1.5359 10.7702
Mo 1.3290 1.5359 10.7702
O 2.9149 2.9197 -6.3548
O 2.9149 0.1034 2.1486
O 1.4136 1.5359 -0.1329
O 1.5013 -1.5359 8.3191
O 2.9149 -0.1522 6.3548
O 0.0000 0.1034 6.3034
O -1.4575 1.5359 4.2260
O 1.4575 1.5359 4.2260
O 2.9149 2.9685 2.1486
O 0.0000 3.2241 2.0971
O 1.4136 4.6078 0.1329
O 1.5013 1.5359 8.5848
O 0.0000 2.9685 6.3034
O 0.0000 0.1522 14.8067
```

---

For CrC6O6, the GGA+U geometry in the Materials Project gives the theoretical powder X-ray diffraction pattern in this record (Cu Kα).
No peak broadening, texture or thermal motion is included.

Top 10 peaks for 15 to 90 degrees two-theta, by angle:
- 2θ = 15.57°, intensity 1000
- 2θ = 16.67°, intensity 879
- 2θ = 17.40°, intensity 725
- 2θ = 22.09°, intensity 255
- 2θ = 27.84°, intensity 266
- 2θ = 29.66°, intensity 373
- 2θ = 30.58°, intensity 282
- 2θ = 31.14°, intensity 909
- 2θ = 31.37°, intensity 300
- 2θ = 35.43°, intensity 416

Cell and atoms:
```
52
Lattice="12.0350 0.0000 0.0000 0.0000 11.3578 0.0000 0.0000 0.0000 6.4756" Properties=species:S:1:pos:R:3 pbc="T T T"
Cr 1.5314 2.8395 0.3998
Cr 4.4861 8.5184 3.6376
Cr 7.5489 2.8395 2.8380
Cr 10.5036 8.5184 6.0758
C 0.3881 1.4871 1.1433
C 0.3881 4.1918 1.1433
C 0.4857 2.8395 5.2617
C 2.5906 2.8395 1.9999
C 2.6607 1.4701 6.1292
C 2.6607 4.2088 6.1292
C 3.3568 7.1490 2.8914
C 3.3568 9.8877 2.8914
C 3.4269 8.5184 5.2377
C 5.5318 8.5184 2.0239
C 5.6294 7.1661 4.3811
C 5.6294 9.8707 4.3811
C 6.4056 1.4871 2.0945
C 6.4056 4.1918 2.0945
C 6.5031 2.8395 4.4517
C 8.6081 2.8395 1.2379
C 8.6782 1.4701 3.5842
C 8.6782 4.2088 3.5842
C 9.3743 7.1490 0.3464
C 9.3743 9.8877 0.3464
C 9.4443 8.5184 4.4757
C 11.5493 8.5184 1.2139
C 11.6469 7.1661 5.3323
C 11.6469 9.8707 5.3323
O 0.1336 8.5184 2.1920
O 0.3141 6.3550 4.8908
O 0.3141 10.6817 4.8908
O 2.6889 6.3191 2.4425
O 2.6889 10.7176 2.4425
O 2.7825 8.5184 6.2025
O 3.2350 2.8395 2.9647
O 3.3286 0.6402 5.6803
O 3.3286 5.0387 5.6803
O 5.7033 0.6761 1.6530
O 5.7033 5.0028 1.6530
O 5.8839 2.8395 5.4298
O 6.1510 8.5184 1.0458
O 6.3316 6.3550 4.8226
O 6.3316 10.6817 4.8226
O 8.7063 6.3191 0.7953
O 8.7063 10.7176 0.7953
O 8.8000 8.5184 3.5109
O 9.2525 2.8395 0.2731
O 9.3461 0.6402 4.0331
O 9.3461 5.0387 4.0331
O 11.7208 0.6761 1.5848
O 11.7208 5.0028 1.5848
O 11.9014 2.8395 4.2836
```

---

For KMnH2OF4, the GGA+U geometry in the Materials Project gives the theoretical powder X-ray diffraction pattern in this record (Cu Kα).
No peak broadening, texture or thermal motion is included.

Top 10 peaks for 15 to 90 degrees two-theta, by angle:
- 2θ = 16.82°, intensity 1000
- 2θ = 18.89°, intensity 667
- 2θ = 27.34°, intensity 839
- 2θ = 28.04°, intensity 290
- 2θ = 31.43°, intensity 312
- 2θ = 33.81°, intensity 329
- 2θ = 40.00°, intensity 601
- 2θ = 40.25°, intensity 304
- 2θ = 49.15°, intensity 329
- 2θ = 59.29°, intensity 239

Cell and atoms:
```
36
Lattice="6.9237 -3.1826 0.0000 6.9237 3.1826 0.0000 -2.5728 0.0000 10.4138" Properties=species:S:1:pos:R:3 pbc="T T T"
K 4.3994 1.6560 5.7918
K 5.5888 1.6560 9.8289
K 5.6858 -1.6560 0.5849
K 6.8752 -1.6560 4.6220
Mn 3.4619 1.5913 0.0000
Mn 6.2805 1.5480 2.6035
Mn 2.1755 -1.5913 5.2069
Mn 4.9941 -1.5480 7.8104
H 0.8705 0.6622 7.8680
H 2.3695 0.5550 8.3822
H 2.1569 -0.6622 2.6611
H 3.6559 -0.5550 3.1753
H 7.6187 0.5550 7.2385
H 9.1177 0.6622 7.7527
H 8.9051 -0.5550 2.0316
H 10.4041 -0.6622 2.5458
O 1.5532 1.1149 8.4216
O 2.8396 -1.1149 3.2146
O 8.4350 1.1149 7.1992
O 9.7214 -1.1149 1.9923
F -0.7472 0.2914 7.1999
F 0.5392 -0.2914 1.9929
F 5.3732 1.6212 0.6488
F 2.0887 0.2088 5.5997
F 3.3751 -0.2088 0.3927
F 7.1878 1.6212 4.5581
F 5.1548 0.1872 3.2953
F 3.8684 -0.1872 8.5022
F 7.4062 0.1872 1.9116
F 6.1198 -0.1872 7.1185
F 4.0868 -1.6212 5.8557
F 7.8995 0.2088 10.0211
F 9.1859 -0.2088 4.8142
F 5.9014 -1.6212 9.7650
F 10.7354 0.2914 8.4209
F 12.0218 -0.2914 3.2140
```

---

For LiMo2O4, the GGA+U geometry in the Materials Project gives the theoretical powder X-ray diffraction pattern in this record (Cu Kα).
No peak broadening, texture or thermal motion is included.

Top 10 peaks for 15 to 90 degrees two-theta, by angle:
- 2θ = 17.05°, intensity 1000
- 2θ = 17.15°, intensity 896
- 2θ = 33.23°, intensity 510
- 2θ = 34.48°, intensity 269
- 2θ = 34.70°, intensity 263
- 2θ = 39.47°, intensity 337
- 2θ = 40.40°, intensity 312
- 2θ = 40.60°, intensity 309
- 2θ = 57.76°, intensity 209
- 2θ = 58.61°, intensity 199

Cell and atoms:
```
14
Lattice="4.4448 -4.4656 0.0000 4.4448 4.4656 0.0000 -4.4029 0.0000 4.5658" Properties=species:S:1:pos:R:3 pbc="T T T"
Li 1.1425 3.3000 3.4244
Li 3.3440 -3.3000 1.1415
Mo 2.2224 2.2328 0.0000
Mo 0.0209 -2.2328 2.2829
Mo 4.4448 0.0000 0.0000
Mo 2.2433 0.0000 2.2829
O 2.3011 2.0724 2.1728
O 2.3665 0.0669 0.1105
O 4.3869 2.0724 0.1101
O 0.1650 -0.0669 2.3934
O 4.3215 0.0669 2.1724
O 0.0997 -2.0724 4.4557
O 2.1200 -0.0669 4.4553
O 2.1854 -2.0724 2.3930
```